[1]
This entry pairs a crystal structure of MgTe4Mo2W2S4 with its computed XRD peak list. Radiation: CuKα. Structure: a GGA-PBE-relaxed structure.
Kinematic intensities with the Lorentz-polarization factor, no thermal factor.

The 12 most intense peaks (10° ≤ 2θ ≤ 80°), by intensity:
hkl	d_spacing	2theta	Rel. int.
0 0 5	8.668	10.2	100.0
1 1 8	2.568	34.9	45.1
1 1 -13	2.196	41.1	31.9
1 1 0	2.915	30.7	30.8
1 1 -10	2.420	37.2	23.8
0 0 6	7.224	12.3	19.3
3 1 0	1.684	54.5	14.0
1 1 -5	2.764	32.4	10.7
2 0 -2	2.891	30.9	9.3
3 1 -5	1.653	55.6	8.4
1 1 -15	2.053	44.1	8.3
0 2 0	1.685	54.5	7.8

Structure:
a = 5.833 Å, b = 3.368 Å, c = 43.342 Å
α = 90.00°, β = 90.15°, γ = 90.00°
Space group Cm (No. 8)
Unique sites:
Mg 0.000 0.000 0.000 x2
Te 0.000 0.000 0.760 x2
Te 0.332 0.000 0.237 x2
Te 0.333 0.000 0.324 x2
Te 0.499 0.500 0.673 x2
Mo 0.333 0.000 0.096 x2
Mo 0.499 0.500 0.280 x2
W 0.001 0.000 0.897 x2
W 0.333 0.000 0.716 x2
S 0.000 0.000 0.131 x2
S 0.334 0.000 0.862 x2
S 0.335 0.000 0.932 x2
S 0.499 0.500 0.062 x2

=====

[2]
This entry pairs a crystal structure of MgTe4Mo2W2S4 with its computed XRD peak list. Radiation: CuKα. Structure: a GGA-PBE-relaxed structure.
Kinematic intensities with the Lorentz-polarization factor, no thermal factor.

The 12 most intense peaks (10° ≤ 2θ ≤ 80°), by intensity:
hkl	d_spacing	2theta	Rel. int.
0 0 5	8.814	10.0	100.0
1 1 8	2.574	34.9	40.1
2 0 13	2.209	40.9	38.4
2 0 0	2.909	30.7	25.0
1 1 -10	2.429	37.0	22.2
0 0 6	7.345	12.0	16.1
3 1 0	1.681	54.6	15.7
1 1 -5	2.764	32.4	14.2
3 1 -5	1.651	55.7	11.2
1 1 -15	2.068	43.8	11.0
2 0 -2	2.886	31.0	9.8
2 2 13	1.337	70.4	7.7

Structure:
a = 5.820 Å, b = 3.363 Å, c = 44.070 Å
α = 90.00°, β = 90.06°, γ = 90.00°
Space group Cm (No. 8)
Unique sites:
Mg 0.000 0.000 0.000 x2
Te 0.167 0.500 0.247 x2
Te 0.168 0.500 0.333 x2
Te 0.334 0.000 0.682 x2
Te 0.334 0.000 0.769 x2
Mo 0.334 0.000 0.290 x2
Mo 0.334 0.000 0.908 x2
W 0.167 0.500 0.109 x2
W 0.167 0.500 0.726 x2
S 0.167 0.500 0.874 x2
S 0.168 0.500 0.943 x2
S 0.333 0.000 0.074 x2
S 0.334 0.000 0.143 x2